No. 1
Theoretical powder X-ray diffraction pattern of Tm2AlGa5 for Cu Ka, from a structure optimized by DFT (PBE).
Neutral-atom scattering factors, no anomalous dispersion.

Principal peaks in the range 10° ≤ 2θ ≤ 90°, in order of falling intensity:
Position (°2θ)	d [Å]	intensity
36.9	2.437	100
42.6	2.122	33
74.2	1.278	25
20.9	4.243	21
62.4	1.489	21
30.0	2.977	18
43.3	2.089	16
75.2	1.263	12
61.8	1.500	11
78.5	1.219	11

Crystal structure
```
8
Lattice="-3.0003 3.0003 4.1784 3.0003 -3.0003 4.1784 3.0003 3.0003 -4.1784" Properties=species:S:1:pos:R:3 pbc="T T T"
Tm 3.0003 0.0000 0.0000
Tm 0.0000 3.0003 0.0000
Al 0.0000 0.0000 4.1741
Ga 0.0000 0.0000 0.0020
Ga 1.4985 1.4985 6.2677
Ga -1.4985 1.4985 6.2677
Ga 1.4985 -1.4985 6.2677
Ga 1.5019 1.5019 2.0893
```

No. 2
Theoretical powder X-ray diffraction pattern of Tm4AlGa2 for Cu Ka, from a structure optimized by DFT (PBE).
Neutral-atom scattering factors, no anomalous dispersion.

Principal peaks in the range 10° ≤ 2θ ≤ 90°, in order of falling intensity:
Position (°2θ)	d [Å]	intensity
31.6	2.833	100
28.0	3.190	25
34.1	2.629	19
36.1	2.490	19
26.1	3.416	18
35.1	2.559	15
40.4	2.233	14
22.1	4.024	13
35.8	2.510	13
42.7	2.116	13

Crystal structure
```
7
Lattice="7.5170 -1.7205 0.0000 7.5170 1.7205 0.0000 -4.2539 0.0000 6.8311" Properties=species:S:1:pos:R:3 pbc="T T T"
Tm 0.6190 0.0000 1.8900
Tm 5.1513 0.0000 0.8561
Tm 5.6288 0.0000 5.9750
Tm 10.1611 0.0000 4.9410
Al -2.1270 0.0000 3.4155
Ga 0.2662 0.0000 4.8281
Ga 10.5139 0.0000 2.0029
```